No. 1
Sm2Ga4Pd5: calculated X-ray powder pattern (Cu Ka), based on a crystal structure in Alexandria, relaxed with GGA-PBE.

Atomic structure:
Cell lengths 5.6568, 9.4971, 15.6651 Å; angles 90.00, 90.00, 90.00 degrees
Space group Fmmm (No. 69)
Symmetry-distinct sites (fractional):
Sm (0.0000, 0.0000, 0.1306)
Ga (0.0000, 0.1561, 0.3704)
Pd (0.0000, 0.0000, 0.5000)
Pd (0.2500, 0.2500, 0.0000)
Pd (0.2500, 0.2500, 0.2500)

Principal peaks in the range 15° ≤ 2θ ≤ 90°, by angle:
Position (°2θ), I_rel, h k l
25.03, 35.8, 1 1 3
29.57, 65.6, 0 2 4
36.81, 88.4, 1 3 3
36.99, 73.2, 2 2 0
39.30, 100.0, 2 0 4
43.68, 35.3, 1 3 5
46.37, 45.0, 0 0 8
60.74, 33.3, 2 2 8

No. 2
NaAg2GeTe4: calculated X-ray powder pattern (Cu Ka), based on a crystal structure in Alexandria, relaxed with GGA-PBE.

Atomic structure:
Cell lengths 8.4471, 8.4597, 11.9178 Å; angles 90.00, 90.00, 90.00 degrees
Space group Imma (No. 74)
Symmetry-distinct sites (fractional):
Na (0.2500, 0.2500, 0.2500)
Ag (0.0000, 0.0000, 0.0000)
Ag (0.2500, 0.2500, 0.7500)
Ge (0.0000, 0.0000, 0.5000)
Te (0.0000, 0.0179, 0.7505)
Te (0.2503, 0.2500, 0.5087)

Principal peaks in the range 15° ≤ 2θ ≤ 90°, by angle:
Position (°2θ), I_rel, h k l
25.84, 7.9, 2 0 2
29.93, 100.0, 2 2 0
42.79, 24.4, 4 0 0
42.86, 48.6, 2 2 4
53.13, 25.1, 4 0 4
70.47, 20.4, 6 2 0
70.65, 10.1, 2 2 8
78.42, 14.8, 6 2 4